Computed X-ray powder pattern
Compound: K4H6C2O9
Radiation: Cu Kα (weighted mean of Kα1 and Kα2)
Structure: DFT lattice parameters and positions (PBE)
No peak broadening, texture or thermal motion is included.

Atomic structure:
```
42
Lattice="6.094 -6.860 0.000 6.094 6.860 0.000 -3.688 0.000 6.242" Properties=species:S:1:pos:R:3 pbc="T T T"
K 3.328 5.241 4.681
K 5.172 4.298 1.560
K 2.646 1.975 2.898
K 7.698 1.975 0.223
K 0.802 -1.975 6.018
K 5.854 -1.975 3.344
K 3.328 -4.298 4.681
K 5.172 -5.241 1.560
H 2.374 0.984 0.296
H -0.198 0.374 3.919
H 1.646 -0.374 0.798
H 0.530 -0.984 3.417
H 4.671 0.753 0.973
H 2.827 -0.753 4.094
H 5.673 0.753 2.148
H 3.829 -0.753 5.269
H 7.970 0.984 2.824
H 6.854 0.374 5.444
H 8.698 -0.374 2.323
H 6.126 -0.984 5.945
C 0.603 2.339 5.290
C 2.447 -2.339 2.170
C 6.053 2.339 4.072
C 7.897 -2.339 0.951
O 0.019 2.071 4.148
O 1.483 0.576 0.531
O 1.687 3.039 5.322
O 3.762 1.894 0.164
O -0.361 -0.576 3.652
O 1.863 -2.071 1.027
O 4.969 3.039 4.041
O 1.918 -1.894 3.285
O 5.172 0.116 1.560
O 3.328 -0.116 4.681
O 6.583 1.894 2.957
O 3.531 -3.039 2.201
O 6.637 2.071 5.214
O 8.861 0.576 2.590
O 4.738 -1.894 6.078
O 6.813 -3.039 0.920
O 7.017 -0.576 5.711
O 8.481 -2.071 2.094
```

Peak list (8 most intense, 15° ≤ 2θ ≤ 90°, most intense first)
| 2θ/deg | intensity |
| --- | --- |
| 32.22 | 100.0 |
| 32.09 | 78.0 |
| 31.47 | 76.0 |
| 29.72 | 38.4 |
| 40.46 | 36.7 |
| 25.98 | 32.8 |
| 39.37 | 25.1 |
| 39.66 | 24.6 |

---

Computed X-ray powder pattern
Compound: Sr2Fe2Ag
Radiation: Cu Kα (weighted mean of Kα1 and Kα2)
Structure: DFT lattice parameters and positions (PBE)
No peak broadening, texture or thermal motion is included.

Atomic structure:
```
10
Lattice="6.019 0.000 0.000 0.000 6.019 0.000 0.000 0.000 7.526" Properties=species:S:1:pos:R:3 pbc="T T T"
Sr 0.000 3.010 1.882
Sr 0.000 3.010 5.645
Sr 3.010 0.000 1.882
Sr 3.010 0.000 5.645
Fe 0.000 0.000 1.043
Fe 0.000 0.000 6.483
Fe 3.010 3.010 2.720
Fe 3.010 3.010 4.806
Ag 0.000 0.000 3.763
Ag 3.010 3.010 0.000
```

Peak list (8 most intense, 15° ≤ 2θ ≤ 90°, most intense first)
| 2θ/deg | intensity |
| --- | --- |
| 29.68 | 100.0 |
| 31.74 | 72.7 |
| 42.48 | 36.6 |
| 53.98 | 31.2 |
| 38.89 | 26.3 |
| 49.67 | 24.9 |
| 69.89 | 15.7 |
| 61.63 | 11.6 |

---

Computed X-ray powder pattern
Compound: Dy3GaAg4S8
Radiation: Cu Kα (weighted mean of Kα1 and Kα2)
Structure: DFT lattice parameters and positions (PBE)
No peak broadening, texture or thermal motion is included.

Atomic structure:
```
16
Lattice="6.968 -3.979 0.000 6.968 3.979 0.000 -5.181 0.000 7.445" Properties=species:S:1:pos:R:3 pbc="T T T"
Dy 0.000 0.000 0.000
Dy 3.484 1.990 0.000
Dy 3.484 -1.990 0.000
Ga 6.968 0.000 0.000
Ag -2.590 0.000 3.722
Ag 0.894 1.990 3.722
Ag 0.894 -1.990 3.722
Ag 4.378 0.000 3.722
S -2.882 0.000 6.043
S 0.700 1.835 6.082
S 4.785 0.000 1.382
S 8.056 1.835 1.363
S 0.700 -1.835 6.082
S 3.971 0.000 6.063
S 8.056 -1.835 1.363
S 11.638 0.000 1.401
```

Peak list (8 most intense, 15° ≤ 2θ ≤ 90°, most intense first)
| 2θ/deg | intensity |
| --- | --- |
| 27.30 | 100.0 |
| 26.30 | 48.8 |
| 29.94 | 38.2 |
| 23.91 | 38.2 |
| 45.29 | 31.8 |
| 42.35 | 31.6 |
| 47.70 | 27.3 |
| 39.95 | 20.8 |

---

Computed X-ray powder pattern
Compound: PrIn12Ir4
Radiation: Cu Kα (weighted mean of Kα1 and Kα2)
Structure: DFT lattice parameters and positions (PBE)
No peak broadening, texture or thermal motion is included.

Atomic structure:
```
17
Lattice="-4.817 4.817 4.817 4.817 -4.817 4.817 4.817 4.817 -4.817" Properties=species:S:1:pos:R:3 pbc="T T T"
Pr 0.000 0.000 0.000
In 4.817 3.191 -1.653
In 3.164 0.000 1.627
In 6.470 0.000 1.627
In 1.627 3.164 0.000
In 3.191 -1.653 4.817
In 0.000 1.627 3.164
In 4.817 3.191 1.653
In 1.627 6.470 0.000
In 3.191 1.653 4.817
In -1.653 4.817 3.191
In 1.653 4.817 3.191
In 0.000 1.627 6.470
Ir 2.409 2.409 -2.409
Ir 2.409 -2.409 2.409
Ir -2.409 2.409 2.409
Ir 2.409 2.409 2.409
```

Peak list (8 most intense, 15° ≤ 2θ ≤ 90°, most intense first)
| 2θ/deg | intensity |
| --- | --- |
| 29.31 | 100.0 |
| 46.16 | 72.8 |
| 34.84 | 57.2 |
| 41.93 | 56.7 |
| 18.42 | 52.0 |
| 85.52 | 35.2 |
| 26.16 | 29.8 |
| 55.62 | 22.4 |

---

Computed X-ray powder pattern
Compound: Pu2Cd3Hg3
Radiation: Cu Kα (weighted mean of Kα1 and Kα2)
Structure: DFT lattice parameters and positions (PBE)
No peak broadening, texture or thermal motion is included.

Atomic structure:
```
8
Lattice="4.406 2.544 3.047 -4.406 2.544 3.047 0.000 -5.087 3.047" Properties=species:S:1:pos:R:3 pbc="T T T"
Pu 0.000 0.000 1.805
Pu 0.000 0.000 7.335
Cd -2.135 0.000 4.570
Cd 1.068 -1.849 4.570
Cd 1.068 1.849 4.570
Hg -1.345 -2.758 3.047
Hg -1.716 2.544 3.047
Hg 3.061 0.214 3.047
```

Peak list (8 most intense, 15° ≤ 2θ ≤ 90°, most intense first)
| 2θ/deg | intensity |
| --- | --- |
| 35.84 | 100.0 |
| 35.28 | 72.9 |
| 63.69 | 33.3 |
| 36.85 | 32.6 |
| 32.55 | 32.1 |
| 30.52 | 30.9 |
| 51.17 | 20.3 |
| 20.15 | 20.3 |

---

Computed X-ray powder pattern
Compound: Be15Cu2Mo2
Radiation: Cu Kα (weighted mean of Kα1 and Kα2)
Structure: DFT lattice parameters and positions (PBE)
No peak broadening, texture or thermal motion is included.

Atomic structure:
```
19
Lattice="3.698 2.135 3.599 -3.698 2.135 3.599 0.000 -4.270 3.599" Properties=species:S:1:pos:R:3 pbc="T T T"
Be -3.698 0.000 5.399
Be -1.122 -2.327 3.599
Be -1.849 1.068 1.800
Be -2.576 0.192 3.599
Be -1.791 -1.034 5.267
Be 1.122 -2.327 3.599
Be -1.455 2.135 3.599
Be 0.000 -2.069 5.531
Be -1.791 1.034 5.531
Be 1.849 1.068 1.800
Be 1.791 -1.034 5.267
Be 0.000 2.069 5.267
Be 2.576 0.192 3.599
Be 1.455 2.135 3.599
Be 1.791 1.034 5.531
Cu 0.000 0.000 1.142
Cu 0.000 0.000 9.656
Mo 0.000 0.000 3.757
Mo 0.000 0.000 7.041
```

Peak list (8 most intense, 15° ≤ 2θ ≤ 90°, most intense first)
| 2θ/deg | intensity |
| --- | --- |
| 24.06 | 100.0 |
| 42.33 | 30.5 |
| 36.11 | 28.4 |
| 50.65 | 23.6 |
| 49.28 | 21.7 |
| 43.86 | 19.0 |
| 34.78 | 15.4 |
| 66.95 | 11.1 |